1.
For Cs4PdCl5, a DFT-relaxed cell (PBE, Alexandria) gives the calculated powder XRD pattern in this record (λ = 1.5418 Å (Cu Kα)).
Intensities are scaled so that the largest is 100.

Main lines, sorted by position (2θ = 10–90°):
22.83°, I = 100, (1 2 1); 25.12°, I = 61, (0 0 2); 27.06°, I = 90, (3 1 0); 37.25°, I = 74, (3 1 2); 45.35°, I = 44, (5 0 1); 59.14°, I = 39, (3 1 4)

```
data_Cs4PdCl5
_chemical_formula_sum 'Cs8 Pd2 Cl10'
_space_group_name_H-M_alt 'I 4'
_space_group_IT_number 79
_cell_length_a 10.4214
_cell_length_b 10.4214
_cell_length_c 7.0902
_cell_angle_alpha 90.00
_cell_angle_beta 90.00
_cell_angle_gamma 90.00
loop_
_space_group_symop_operation_xyz
'x,y,z'
'-y,x,z'
'-x,-y,z'
'y,-x,z'
'x+1/2,y+1/2,z+1/2'
'-y+1/2,x+1/2,z+1/2'
'-x+1/2,-y+1/2,z+1/2'
'y+1/2,-x+1/2,z+1/2'
loop_
_atom_site_label
_atom_site_type_symbol
_atom_site_fract_x
_atom_site_fract_y
_atom_site_fract_z
_atom_site_occupancy
Cs1 Cs 0.0917 0.7042 0.0000 1
Pd1 Pd 0.0000 0.0000 0.5009 1
Cl1 Cl 0.0000 0.0000 0.9847 1
Cl2 Cl 0.0799 0.7597 0.4980 1
```

2.
For Cs2PdCl5, a DFT-relaxed cell (PBE, Alexandria) gives the calculated powder XRD pattern in this record (λ = 1.5418 Å (Cu Kα)).
Intensities are scaled so that the largest is 100.

Main lines, sorted by position (2θ = 10–90°):
11.98°, I = 68, (1 0 0); 24.33°, I = 100, (1 1 1); 29.81°, I = 57, (2 0 1); 34.33°, I = 52, (2 2 0); 42.52°, I = 42, (3 1 1); 49.85°, I = 34, (2 2 2)

```
data_Cs2PdCl5
_chemical_formula_sum 'Cs2 Pd1 Cl5'
_space_group_name_H-M_alt 'P 4/m m m'
_space_group_IT_number 123
_space_group_name_Hall '-P 4 2'
_cell_length_a 7.3888
_cell_length_b 7.3888
_cell_length_c 5.1243
_cell_angle_alpha 90.00
_cell_angle_beta 90.00
_cell_angle_gamma 90.00
loop_
_atom_site_label
_atom_site_type_symbol
_atom_site_fract_x
_atom_site_fract_y
_atom_site_fract_z
_atom_site_occupancy
Cs1 Cs 0.0000 0.5000 0.0000 1
Pd1 Pd 0.0000 0.0000 0.5000 1
Cl1 Cl 0.0000 0.0000 0.0000 1
Cl2 Cl 0.2263 0.2263 0.5000 1
```

3.
For CsPuPdCl6, a DFT-relaxed cell (PBE, Alexandria) gives the calculated powder XRD pattern in this record (λ = 1.5418 Å (Cu Kα)).
Intensities are scaled so that the largest is 100.

Main lines, sorted by position (2θ = 10–90°):
10.89°, I = 46, (0 0 1); 18.81°, I = 100, (1 0 1); 26.64°, I = 27, (1 1 0); 32.81°, I = 22, (2 0 1); 34.73°, I = 64, (2 -1 2); 42.75°, I = 24, (3 -1 1)

```
data_CsPuPdCl6
_chemical_formula_sum 'Cs1 Pu1 Pd1 Cl6'
_space_group_name_H-M_alt 'P 3 1 2'
_space_group_IT_number 149
_cell_length_a 6.6921
_cell_length_b 6.6921
_cell_length_c 8.1261
_cell_angle_alpha 90.00
_cell_angle_beta 90.00
_cell_angle_gamma 120.00
loop_
_space_group_symop_operation_xyz
'x,y,z'
'-y,x-y,z'
'-x+y,-x,z'
'-y,-x,-z'
'-x+y,y,-z'
'x,x-y,-z'
loop_
_atom_site_label
_atom_site_type_symbol
_atom_site_fract_x
_atom_site_fract_y
_atom_site_fract_z
_atom_site_occupancy
Cs1 Cs 0.0000 0.0000 0.0000 1
Pu1 Pu 0.6667 0.3333 0.5000 1
Pd1 Pd 0.3333 0.6667 0.5000 1
Cl1 Cl 0.0079 0.3672 0.6905 1
```

4.
For CsZnPdCl6, a DFT-relaxed cell (PBE, Alexandria) gives the calculated powder XRD pattern in this record (λ = 1.5418 Å (Cu Kα)).
Intensities are scaled so that the largest is 100.

Main lines, sorted by position (2θ = 10–90°):
11.24°, I = 73, (0 0 1); 19.05°, I = 100, (1 1 -1); 19.67°, I = 91, (1 1 1); 19.81°, I = 97, (0 2 1); 34.82°, I = 64, (2 0 -2); 36.65°, I = 87, (1 3 2)

```
data_CsZnPdCl6
_chemical_formula_sum 'Cs2 Zn2 Pd2 Cl12'
_space_group_name_H-M_alt 'C 1 2 1'
_space_group_IT_number 5
_cell_length_a 6.5960
_cell_length_b 10.9018
_cell_length_c 7.8796
_cell_angle_alpha 90.00
_cell_angle_beta 92.24
_cell_angle_gamma 90.00
loop_
_space_group_symop_operation_xyz
'x,y,z'
'-x,y,-z'
'x+1/2,y+1/2,z'
'-x+1/2,y+1/2,-z'
loop_
_atom_site_label
_atom_site_type_symbol
_atom_site_fract_x
_atom_site_fract_y
_atom_site_fract_z
_atom_site_occupancy
Cs1 Cs 0.0000 0.0000 0.0000 1
Zn1 Zn 0.0000 0.3285 0.5000 1
Pd1 Pd 0.0000 0.6716 0.5000 1
Cl1 Cl 0.1307 0.5116 0.6717 1
Cl2 Cl 0.1765 0.8198 0.6692 1
Cl3 Cl 0.1837 0.1952 0.6905 1
```

Repeat the second record exactly.
For Cs2PdCl5, a DFT-relaxed cell (PBE, Alexandria) gives the calculated powder XRD pattern in this record (λ = 1.5418 Å (Cu Kα)).
Intensities are scaled so that the largest is 100.

Main lines, sorted by position (2θ = 10–90°):
11.98°, I = 68, (1 0 0); 24.33°, I = 100, (1 1 1); 29.81°, I = 57, (2 0 1); 34.33°, I = 52, (2 2 0); 42.52°, I = 42, (3 1 1); 49.85°, I = 34, (2 2 2)

```
data_Cs2PdCl5
_chemical_formula_sum 'Cs2 Pd1 Cl5'
_space_group_name_H-M_alt 'P 4/m m m'
_space_group_IT_number 123
_space_group_name_Hall '-P 4 2'
_cell_length_a 7.3888
_cell_length_b 7.3888
_cell_length_c 5.1243
_cell_angle_alpha 90.00
_cell_angle_beta 90.00
_cell_angle_gamma 90.00
loop_
_atom_site_label
_atom_site_type_symbol
_atom_site_fract_x
_atom_site_fract_y
_atom_site_fract_z
_atom_site_occupancy
Cs1 Cs 0.0000 0.5000 0.0000 1
Pd1 Pd 0.0000 0.0000 0.5000 1
Cl1 Cl 0.0000 0.0000 0.0000 1
Cl2 Cl 0.2263 0.2263 0.5000 1
```